(1)
Starting from the PBE geometry in Alexandria, the powder diffraction line list of CaAl4SiO12 was calculated for Cu Kα.

Cell and atoms:
```
data_CaAl4SiO12
_chemical_formula_sum 'Ca1 Al4 Si1 O12'
_cell_length_a 7.6290
_cell_length_b 5.0112
_cell_length_c 5.0112
_cell_angle_alpha 92.93
_cell_angle_beta 90.00
_cell_angle_gamma 90.00
_space_group_name_H-M_alt 'P 1'
_space_group_IT_number 1
loop_
_space_group_symop_operation_xyz
'x,y,z'
loop_
_atom_site_label
_atom_site_type_symbol
_atom_site_fract_x
_atom_site_fract_y
_atom_site_fract_z
Ca1 Ca 0.0000 0.0000 0.0000
Al1 Al 0.2617 0.4675 0.9478
Al2 Al 0.2617 0.9478 0.4675
Al3 Al 0.7383 0.4675 0.9478
Al4 Al 0.7383 0.9478 0.4675
Si1 Si 0.5000 0.4266 0.4266
O1 O 0.0000 0.5026 0.8942
O2 O 0.0000 0.8942 0.5026
O3 O 0.2093 0.2616 0.2616
O4 O 0.2445 0.1387 0.7828
O5 O 0.2445 0.7828 0.1387
O6 O 0.3382 0.5994 0.5994
O7 O 0.5000 0.0959 0.4611
O8 O 0.5000 0.4611 0.0959
O9 O 0.6618 0.5994 0.5994
O10 O 0.7555 0.1387 0.7828
O11 O 0.7555 0.7828 0.1387
O12 O 0.7907 0.2616 0.2616
```

The 12 most intense peaks (10° ≤ 2θ ≤ 90°), sorted by position:
21.23°, rel. 100.0; 23.32°, rel. 18.3; 34.08°, rel. 30.7; 35.89°, rel. 32.8; 39.76°, rel. 18.8; 41.20°, rel. 35.8; 46.31°, rel. 17.3; 47.68°, rel. 30.6; 50.23°, rel. 15.2; 61.09°, rel. 16.4; 62.72°, rel. 23.8; 64.58°, rel. 16.2

---

(2)
Starting from the PBE geometry in Alexandria, the powder diffraction line list of BaCrNi was calculated for Cu Kα.

Cell and atoms:
```
data_BaCrNi
_chemical_formula_sum 'Ba2 Cr2 Ni2'
_cell_length_a 4.2290
_cell_length_b 4.4066
_cell_length_c 9.4417
_cell_angle_alpha 89.81
_cell_angle_beta 88.93
_cell_angle_gamma 76.08
_space_group_name_H-M_alt 'P 1'
_space_group_IT_number 1
loop_
_space_group_symop_operation_xyz
'x,y,z'
loop_
_atom_site_label
_atom_site_type_symbol
_atom_site_fract_x
_atom_site_fract_y
_atom_site_fract_z
Ba1 Ba 0.0000 0.0000 0.0000
Ba2 Ba 0.4825 0.4865 0.4199
Cr1 Cr 0.0178 0.0785 0.6319
Cr2 Cr 0.4374 0.9357 0.7120
Ni1 Ni 0.0028 0.5764 0.7106
Ni2 Ni 0.5440 0.3925 0.7929
```

The 12 most intense peaks (10° ≤ 2θ ≤ 90°), sorted by position:
22.83°, rel. 100.0; 23.48°, rel. 47.2; 23.80°, rel. 37.6; 26.23°, rel. 61.1; 28.17°, rel. 39.5; 28.36°, rel. 64.5; 32.69°, rel. 50.8; 35.42°, rel. 64.7; 36.30°, rel. 41.0; 38.66°, rel. 45.9; 43.76°, rel. 44.8; 44.13°, rel. 45.2

---

(3)
Starting from the PBE geometry in Alexandria, the powder diffraction line list of BeZn2Au was calculated for Cu Kα.

Cell and atoms:
```
data_BeZn2Au
_chemical_formula_sum 'Be2 Zn4 Au2'
_cell_length_a 3.8615
_cell_length_b 3.8615
_cell_length_c 7.3936
_cell_angle_alpha 90.00
_cell_angle_beta 90.00
_cell_angle_gamma 90.00
_space_group_name_H-M_alt 'P 1'
_space_group_IT_number 1
loop_
_space_group_symop_operation_xyz
'x,y,z'
loop_
_atom_site_label
_atom_site_type_symbol
_atom_site_fract_x
_atom_site_fract_y
_atom_site_fract_z
Be1 Be 0.2500 0.7500 0.0000
Be2 Be 0.7500 0.2500 0.0000
Zn1 Zn 0.2500 0.2500 0.2328
Zn2 Zn 0.2500 0.7500 0.5000
Zn3 Zn 0.7500 0.2500 0.5000
Zn4 Zn 0.7500 0.7500 0.7672
Au1 Au 0.2500 0.2500 0.7866
Au2 Au 0.7500 0.7500 0.2134
```

The 12 most intense peaks (10° ≤ 2θ ≤ 90°), sorted by position:
24.07°, rel. 26.8; 26.03°, rel. 45.5; 32.80°, rel. 32.2; 35.03°, rel. 20.7; 36.46°, rel. 15.2; 41.10°, rel. 100.0; 47.07°, rel. 38.5; 53.55°, rel. 12.9; 54.57°, rel. 13.0; 60.96°, rel. 13.4; 72.72°, rel. 13.9; 83.35°, rel. 25.3

---

(4)
Starting from the PBE geometry in Alexandria, the powder diffraction line list of Nd2Ga4CuNi3 was calculated for Cu Kα.

Cell and atoms:
```
data_Nd2Ga4CuNi3
_chemical_formula_sum 'Nd2 Ga4 Cu1 Ni3'
_cell_length_a 4.2575
_cell_length_b 4.2575
_cell_length_c 9.6009
_cell_angle_alpha 90.00
_cell_angle_beta 90.00
_cell_angle_gamma 90.00
_space_group_name_H-M_alt 'P 1'
_space_group_IT_number 1
loop_
_space_group_symop_operation_xyz
'x,y,z'
loop_
_atom_site_label
_atom_site_type_symbol
_atom_site_fract_x
_atom_site_fract_y
_atom_site_fract_z
Nd1 Nd 0.0000 0.5000 0.2479
Nd2 Nd 0.5000 0.0000 0.7521
Ga1 Ga 0.0000 0.0000 0.5000
Ga2 Ga 0.0000 0.5000 0.8747
Ga3 Ga 0.5000 0.0000 0.1253
Ga4 Ga 0.5000 0.5000 0.5000
Cu1 Cu 0.5000 0.5000 0.0000
Ni1 Ni 0.0000 0.0000 0.0000
Ni2 Ni 0.0000 0.5000 0.6271
Ni3 Ni 0.5000 0.0000 0.3729
```

The 12 most intense peaks (10° ≤ 2θ ≤ 90°), sorted by position:
29.67°, rel. 19.3; 35.08°, rel. 70.5; 35.19°, rel. 100.0; 42.46°, rel. 64.0; 48.51°, rel. 8.4; 52.26°, rel. 23.2; 56.22°, rel. 35.5; 61.61°, rel. 20.4; 66.13°, rel. 14.3; 69.53°, rel. 19.3; 72.96°, rel. 30.6; 88.20°, rel. 9.9

---

(5)
Starting from the PBE geometry in Alexandria, the powder diffraction line list of Tl2Sn3Te4 was calculated for Cu Kα.

Cell and atoms:
```
data_Tl2Sn3Te4
_chemical_formula_sum 'Tl4 Sn6 Te8'
_cell_length_a 9.2052
_cell_length_b 9.2052
_cell_length_c 8.7660
_cell_angle_alpha 90.00
_cell_angle_beta 90.00
_cell_angle_gamma 122.58
_space_group_name_H-M_alt 'P 1'
_space_group_IT_number 1
loop_
_space_group_symop_operation_xyz
'x,y,z'
loop_
_atom_site_label
_atom_site_type_symbol
_atom_site_fract_x
_atom_site_fract_y
_atom_site_fract_z
Tl1 Tl 0.0980 0.9020 0.9249
Tl2 Tl 0.4019 0.5980 0.4249
Tl3 Tl 0.5980 0.4019 0.5751
Tl4 Tl 0.9020 0.0980 0.0751
Sn1 Sn 0.0000 0.0000 0.5000
Sn2 Sn 0.0304 0.4696 0.7500
Sn3 Sn 0.4696 0.0304 0.2500
Sn4 Sn 0.5000 0.5000 0.0000
Sn5 Sn 0.5304 0.9696 0.7500
Sn6 Sn 0.9696 0.5304 0.2500
Te1 Te 0.2001 0.7999 0.5260
Te2 Te 0.2152 0.2848 0.7500
Te3 Te 0.2848 0.2152 0.2500
Te4 Te 0.2999 0.7001 0.0260
Te5 Te 0.7001 0.2999 0.9740
Te6 Te 0.7152 0.7848 0.7500
Te7 Te 0.7848 0.7152 0.2500
Te8 Te 0.7999 0.2001 0.4740
```

The 12 most intense peaks (10° ≤ 2θ ≤ 90°), sorted by position:
25.11°, rel. 36.3; 28.13°, rel. 22.8; 28.68°, rel. 100.0; 29.97°, rel. 15.2; 31.20°, rel. 71.4; 32.59°, rel. 25.8; 34.87°, rel. 13.8; 40.54°, rel. 19.8; 40.81°, rel. 26.4; 42.80°, rel. 30.5; 45.86°, rel. 13.0; 53.17°, rel. 13.0

---

(6)
Starting from the PBE geometry in Alexandria, the powder diffraction line list of Mg6CdAu10 was calculated for Cu Kα.

Cell and atoms:
```
data_Mg6CdAu10
_chemical_formula_sum 'Mg6 Cd1 Au10'
_cell_length_a 8.0693
_cell_length_b 8.0693
_cell_length_c 5.6109
_cell_angle_alpha 90.00
_cell_angle_beta 90.00
_cell_angle_gamma 120.00
_space_group_name_H-M_alt 'P 1'
_space_group_IT_number 1
loop_
_space_group_symop_operation_xyz
'x,y,z'
loop_
_atom_site_label
_atom_site_type_symbol
_atom_site_fract_x
_atom_site_fract_y
_atom_site_fract_z
Mg1 Mg 0.0000 0.3639 0.2947
Mg2 Mg 0.0000 0.6361 0.7053
Mg3 Mg 0.3639 0.0000 0.2947
Mg4 Mg 0.3639 0.3639 0.7053
Mg5 Mg 0.6361 0.0000 0.7053
Mg6 Mg 0.6361 0.6361 0.2947
Cd1 Cd 0.0000 0.0000 0.5000
Au1 Au 0.0000 0.2940 0.8080
Au2 Au 0.0000 0.7060 0.1920
Au3 Au 0.2940 0.0000 0.8080
Au4 Au 0.2940 0.2940 0.1920
Au5 Au 0.3333 0.6667 0.0000
Au6 Au 0.3333 0.6667 0.5000
Au7 Au 0.6667 0.3333 0.0000
Au8 Au 0.6667 0.3333 0.5000
Au9 Au 0.7060 0.0000 0.1920
Au10 Au 0.7060 0.7060 0.8080
```

The 12 most intense peaks (10° ≤ 2θ ≤ 90°), sorted by position:
25.49°, rel. 16.7; 27.22°, rel. 73.2; 33.94°, rel. 11.3; 34.45°, rel. 9.4; 37.64°, rel. 21.3; 38.65°, rel. 87.4; 39.11°, rel. 100.0; 47.92°, rel. 10.4; 56.16°, rel. 30.4; 69.94°, rel. 13.6; 70.25°, rel. 25.0; 71.16°, rel. 13.2

---

Question: Number 3 is which compound?
Answer: BeZn2Au